1.
# Y2Mg7Cu3
Calculated X-ray diffraction stick pattern, Cu Kα (weighted mean of Kα1 and Kα2). Input: a cell relaxed with PBE.

Atomic structure:
Cell lengths 10.966, 10.966, 10.966 Å; angles 29.99, 29.99, 29.99 degrees
Fractional coordinates of all 12 atoms:
Y  0.166  0.166  0.166
Y  0.834  0.834  0.834
Mg  0.000  0.000  0.000
Mg  0.094  0.094  0.587
Mg  0.094  0.587  0.094
Mg  0.413  0.906  0.906
Mg  0.587  0.094  0.094
Mg  0.906  0.413  0.906
Mg  0.906  0.906  0.413
Cu  0.333  0.333  0.333
Cu  0.500  0.500  0.500
Cu  0.667  0.667  0.667

The 10 most intense peaks (2θ from 10° to 90°), low angle first:
- 2θ 16.95, rel. 36.0
- 2θ 18.92, rel. 9.6
- 2θ 31.53, rel. 44.2
- 2θ 34.28, rel. 25.9
- 2θ 36.01, rel. 100.0
- 2θ 47.26, rel. 29.1
- 2θ 59.10, rel. 22.2
- 2θ 62.51, rel. 17.1
- 2θ 65.84, rel. 11.8
- 2θ 76.37, rel. 13.4

2.
# Ca3Zn9Si2
Calculated X-ray diffraction stick pattern, Cu Kα (weighted mean of Kα1 and Kα2). Input: a cell relaxed with PBE.

Atomic structure:
Cell lengths 8.194, 8.194, 8.194 Å; angles 149.67, 106.43, 81.61 degrees
Fractional coordinates of all 14 atoms:
Ca  0.000  0.000  0.000
Ca  0.312  0.312  0.000
Ca  0.688  0.688  0.000
Zn  0.032  0.665  0.367
Zn  0.148  0.868  0.280
Zn  0.297  0.665  0.633
Zn  0.412  0.132  0.280
Zn  0.500  0.000  0.500
Zn  0.588  0.868  0.720
Zn  0.703  0.335  0.367
Zn  0.852  0.132  0.720
Zn  0.968  0.335  0.633
Si  0.287  0.500  0.787
Si  0.713  0.500  0.213

The 10 most intense peaks (2θ from 10° to 90°), low angle first:
- 2θ 22.64, rel. 25.7
- 2θ 34.20, rel. 34.6
- 2θ 34.49, rel. 46.9
- 2θ 35.27, rel. 100.0
- 2θ 37.50, rel. 28.8
- 2θ 42.15, rel. 70.7
- 2θ 43.11, rel. 34.1
- 2θ 43.79, rel. 25.7
- 2θ 45.52, rel. 30.7
- 2θ 48.06, rel. 19.0

3.
# Zn3InAgS5
Calculated X-ray diffraction stick pattern, Cu Kα (weighted mean of Kα1 and Kα2). Input: a cell relaxed with PBE.

Atomic structure:
Cell lengths 6.494, 6.853, 10.484 Å; angles 108.99, 90.01, 90.03 degrees
Fractional coordinates of all 20 atoms:
Zn  0.000  0.000  0.000
Zn  0.000  0.197  0.386
Zn  0.001  0.387  0.786
Zn  0.493  0.128  0.582
Zn  0.499  0.525  0.388
Zn  0.506  0.945  0.200
In  0.001  0.795  0.594
In  0.501  0.326  0.990
Ag  0.002  0.605  0.189
Ag  0.504  0.731  0.793
S  0.363  0.996  0.007
S  0.364  0.373  0.779
S  0.367  0.204  0.392
S  0.385  0.798  0.577
S  0.396  0.612  0.197
S  0.864  0.519  0.395
S  0.865  0.137  0.586
S  0.866  0.955  0.194
S  0.885  0.313  0.976
S  0.897  0.725  0.804

The 10 most intense peaks (2θ from 10° to 90°), low angle first:
- 2θ 25.98, rel. 72.0
- 2θ 27.47, rel. 51.0
- 2θ 29.45, rel. 100.0
- 2θ 38.17, rel. 30.1
- 2θ 45.79, rel. 37.7
- 2θ 45.88, rel. 18.7
- 2θ 49.81, rel. 58.3
- 2θ 54.23, rel. 26.9
- 2θ 54.31, rel. 13.6
- 2θ 78.80, rel. 13.9

4.
# AcHo2ReN4
Calculated X-ray diffraction stick pattern, Cu Kα (weighted mean of Kα1 and Kα2). Input: a cell relaxed with PBE.

Atomic structure:
Cell lengths 6.242, 6.242, 11.932 Å; angles 90.00, 90.00, 147.24 degrees
Fractional coordinates of all 16 atoms:
Ac  0.080  0.920  0.750
Ac  0.920  0.080  0.250
Ho  0.369  0.631  0.542
Ho  0.369  0.631  0.958
Ho  0.631  0.369  0.042
Ho  0.631  0.369  0.458
Re  0.177  0.823  0.250
Re  0.823  0.177  0.750
N  0.000  0.000  0.000
N  0.000  0.000  0.500
N  0.260  0.740  0.113
N  0.260  0.740  0.387
N  0.409  0.591  0.750
N  0.591  0.409  0.250
N  0.740  0.260  0.613
N  0.740  0.260  0.887

The 10 most intense peaks (2θ from 10° to 90°), low angle first:
- 2θ 26.91, rel. 22.7
- 2θ 29.84, rel. 25.7
- 2θ 29.96, rel. 43.1
- 2θ 30.41, rel. 100.0
- 2θ 30.79, rel. 34.5
- 2θ 34.81, rel. 55.4
- 2θ 37.24, rel. 48.2
- 2θ 51.59, rel. 50.5
- 2θ 51.95, rel. 17.7
- 2θ 61.11, rel. 18.9